[1]
For NaB2SeBr, the PBE geometry in Alexandria gives the computed powder diffraction line list in this record (copper Kα).
Neutral-atom scattering factors, no anomalous dispersion.

Peak list (8 most intense, 2θ = 10–90°, in order of falling intensity)
24.5°, intensity 100.0, hkl 1 1 0; 30.6°, intensity 94.9, hkl 1 1 1; 35.0°, intensity 57.0, hkl 2 0 0; 18.1°, intensity 50.8, hkl 0 0 1; 44.6°, intensity 40.8, hkl 1 1 2; 51.5°, intensity 35.7, hkl 2 0 2; 39.6°, intensity 29.0, hkl 2 0 1; 60.1°, intensity 25.9, hkl 3 1 1

a b c (Å): 5.1299 5.1299 4.9119
angles (deg): 90.00 90.00 90.00
Space group P4/mmm (No. 123)
Symmetry-distinct sites (fractional):
Na (0.0000, 0.0000, 0.0000) (multiplicity 1)
B (0.0000, 0.5000, 0.0000) (multiplicity 2)
Se (0.0000, 0.0000, 0.5000) (multiplicity 1)
Br (0.5000, 0.5000, 0.5000) (multiplicity 1)

---

[2]
For NaPm2PaBi4, the PBE geometry in Alexandria gives the computed powder diffraction line list in this record (copper Kα).
Neutral-atom scattering factors, no anomalous dispersion.

Peak list (8 most intense, 2θ = 10–90°, in order of falling intensity)
27.6°, intensity 100.0, hkl 1 1 1; 39.5°, intensity 58.4, hkl 0 2 0; 27.9°, intensity 48.2, hkl 2 0 -2; 39.8°, intensity 38.0, hkl 3 1 -1; 49.1°, intensity 31.5, hkl 2 2 -2; 39.3°, intensity 19.6, hkl 2 0 2; 64.4°, intensity 18.7, hkl 0 2 4; 71.9°, intensity 13.6, hkl 3 3 -1

a b c (Å): 7.8250 4.5610 7.8961
angles (deg): 90.00 108.73 90.00
Space group P2/m (No. 10)
Symmetry-distinct sites (fractional):
Na (0.0000, 0.0000, 0.0000) (multiplicity 1)
Pm (0.0000, 0.5000, 0.5000) (multiplicity 1)
Pm (0.5000, 0.0000, 0.5000) (multiplicity 1)
Pa (0.5000, 0.5000, 0.0000) (multiplicity 1)
Bi (0.2568, 0.0000, 0.7596) (multiplicity 2)
Bi (0.2593, 0.5000, 0.2444) (multiplicity 2)

---

[3]
For VPHRuS, the PBE geometry in Alexandria gives the computed powder diffraction line list in this record (copper Kα).
Neutral-atom scattering factors, no anomalous dispersion.

Peak list (8 most intense, 2θ = 10–90°, in order of falling intensity)
36.6°, intensity 100.0, hkl 1 0 1; 49.2°, intensity 88.7, hkl 0 1 3; 34.8°, intensity 52.3, hkl 1 0 0; 22.3°, intensity 49.8, hkl 0 0 2; 11.1°, intensity 45.7, hkl 0 0 1; 62.3°, intensity 28.8, hkl 1 1 0; 41.7°, intensity 22.8, hkl 1 0 2; 83.2°, intensity 18.4, hkl 2 0 3

a b c (Å): 2.9807 2.9807 7.9809
angles (deg): 90.00 90.00 120.00
Space group P3m1 (No. 156)
Symmetry-distinct sites (fractional):
V (0.0000, 0.0000, 0.0000) (multiplicity 1)
P (0.0000, 0.0000, 0.6866) (multiplicity 1)
H (0.3333, 0.6667, 0.9016) (multiplicity 1)
Ru (0.3333, 0.6667, 0.4969) (multiplicity 1)
S (0.3333, 0.6667, 0.1929) (multiplicity 1)

---

[4]
For Dy8Te3Se4, the PBE geometry in Alexandria gives the computed powder diffraction line list in this record (copper Kα).
Neutral-atom scattering factors, no anomalous dispersion.

Peak list (8 most intense, 2θ = 10–90°, in order of falling intensity)
30.2°, intensity 100.0, hkl 0 0 2; 43.2°, intensity 61.4, hkl 4 0 0; 53.7°, intensity 25.3, hkl 4 4 0; 71.3°, intensity 20.8, hkl 4 0 2; 26.1°, intensity 16.4, hkl 2 2 0; 79.3°, intensity 15.5, hkl 4 4 2; 43.3°, intensity 11.8, hkl 4 0 -4; 71.4°, intensity 10.0, hkl 8 4 -4

a b c (Å): 11.8184 11.8416 8.3519
angles (deg): 90.00 134.91 90.00
Space group C2/m (No. 12)
Symmetry-distinct sites (fractional):
Dy (0.0000, 0.2342, 0.0000) (multiplicity 4)
Dy (0.0000, 0.2579, 0.5000) (multiplicity 4)
Dy (0.2451, 0.0000, 0.0123) (multiplicity 4)
Dy (0.2458, 0.0000, 0.4744) (multiplicity 4)
Te (0.0000, 0.5000, 0.0000) (multiplicity 2)
Te (0.2500, 0.2500, 0.5000) (multiplicity 4)
Se (0.0000, 0.0000, 0.0000) (multiplicity 2)
Se (0.0000, 0.5000, 0.5000) (multiplicity 2)
Se (0.2500, 0.2500, 0.0000) (multiplicity 4)

---

[5]
For CsLiTeO4, the PBE geometry in Alexandria gives the computed powder diffraction line list in this record (copper Kα).
Neutral-atom scattering factors, no anomalous dispersion.

Peak list (8 most intense, 2θ = 10–90°, in order of falling intensity)
20.8°, intensity 100.0, hkl 1 1 0; 30.2°, intensity 82.2, hkl 1 1 2; 37.0°, intensity 44.8, hkl 2 0 2; 21.6°, intensity 41.5, hkl 0 0 2; 29.6°, intensity 36.1, hkl 2 0 0; 52.9°, intensity 33.1, hkl 1 3 2; 48.1°, intensity 20.5, hkl 2 2 2; 47.6°, intensity 19.9, hkl 3 1 0

a b c (Å): 6.0356 6.0356 8.2122
angles (deg): 90.00 90.00 90.00
Space group I-4 (No. 82)
Symmetry-distinct sites (fractional):
Cs (0.0000, 0.0000, 0.0000) (multiplicity 2)
Li (0.0000, 0.5000, 0.2500) (multiplicity 2)
Te (0.0000, 0.0000, 0.5000) (multiplicity 2)
O (0.0934, 0.7687, 0.3703) (multiplicity 8)

---

[6]
For Li2YHg7, the PBE geometry in Alexandria gives the computed powder diffraction line list in this record (copper Kα).
Neutral-atom scattering factors, no anomalous dispersion.

Peak list (8 most intense, 2θ = 10–90°, in order of falling intensity)
36.0°, intensity 100.0, hkl 1 1 0; 31.7°, intensity 62.6, hkl 0 1 3; 26.1°, intensity 46.2, hkl 0 1 2; 38.4°, intensity 46.2, hkl 1 0 4; 62.0°, intensity 23.7, hkl 1 2 3; 22.0°, intensity 22.1, hkl 1 0 1; 66.2°, intensity 20.2, hkl 2 1 4; 53.6°, intensity 20.2, hkl 0 2 4

a b c (Å): 4.9955 4.9955 11.1662
angles (deg): 90.00 90.00 120.00
Space group P3m1 (No. 156)
Symmetry-distinct sites (fractional):
Li (0.0000, 0.0000, 0.0000) (multiplicity 1)
Li (0.3333, 0.6667, 0.5825) (multiplicity 1)
Y (0.6667, 0.3333, 0.3636) (multiplicity 1)
Hg (0.0000, 0.0000, 0.2368) (multiplicity 1)
Hg (0.0000, 0.0000, 0.5037) (multiplicity 1)
Hg (0.0000, 0.0000, 0.7644) (multiplicity 1)
Hg (0.3333, 0.6667, 0.2674) (multiplicity 1)
Hg (0.3333, 0.6667, 0.9037) (multiplicity 1)
Hg (0.6667, 0.3333, 0.0693) (multiplicity 1)
Hg (0.6667, 0.3333, 0.6427) (multiplicity 1)

---

[7]
For La8AgOs3Br4, the PBE geometry in Alexandria gives the computed powder diffraction line list in this record (copper Kα).
Neutral-atom scattering factors, no anomalous dispersion.

Peak list (8 most intense, 2θ = 10–90°, in order of falling intensity)
28.6°, intensity 100.0, hkl 0 2 4; 42.6°, intensity 36.1, hkl 2 2 0; 11.2°, intensity 34.8, hkl 0 0 3; 39.0°, intensity 31.7, hkl 2 0 8; 52.1°, intensity 17.9, hkl 4 0 4; 36.0°, intensity 16.4, hkl 0 2 7; 69.5°, intensity 14.2, hkl 2 4 4; 48.9°, intensity 10.6, hkl 2 0 11

a b c (Å): 8.4888 8.4888 23.7427
angles (deg): 90.00 90.00 120.00
Space group R-3m (No. 166, hexagonal axes)
Symmetry-distinct sites (fractional):
La (0.0000, 0.0000, 0.2330) (multiplicity 6)
La (0.0234, 0.5117, 0.7675) (multiplicity 18)
Ag (0.0000, 0.0000, 0.5000) (multiplicity 3)
Os (0.0000, 0.5000, 0.5000) (multiplicity 9)
Br (0.0000, 0.0000, 0.0000) (multiplicity 3)
Br (0.0000, 0.5000, 0.0000) (multiplicity 9)

---

[8]
For Ac2NpPd3O12, the PBE geometry in Alexandria gives the computed powder diffraction line list in this record (copper Kα).
Neutral-atom scattering factors, no anomalous dispersion.

Peak list (8 most intense, 2θ = 10–90°, in order of falling intensity)
28.5°, intensity 100.0, hkl 0 1 5; 29.4°, intensity 71.9, hkl 1 1 3; 31.1°, intensity 67.5, hkl 2 0 2; 25.4°, intensity 55.2, hkl 1 1 0; 52.2°, intensity 52.5, hkl 2 2 0; 46.8°, intensity 48.4, hkl 1 2 5; 17.5°, intensity 40.8, hkl 0 1 2; 29.8°, intensity 33.0, hkl 0 2 1

a b c (Å): 7.0089 7.0089 18.2711
angles (deg): 90.00 90.00 120.00
Space group R-3m (No. 166, hexagonal axes)
Symmetry-distinct sites (fractional):
Ac (0.0000, 0.0000, 0.0976) (multiplicity 6)
Np (0.0000, 0.0000, 0.5000) (multiplicity 3)
Pd (0.0000, 0.5000, 0.0000) (multiplicity 9)
O (0.0236, 0.5118, 0.3578) (multiplicity 18)
O (0.0422, 0.5211, 0.1093) (multiplicity 18)

---

[9]
For Tb2Ge4Rh3, the PBE geometry in Alexandria gives the computed powder diffraction line list in this record (copper Kα).
Neutral-atom scattering factors, no anomalous dispersion.

Peak list (8 most intense, 2θ = 10–90°, in order of falling intensity)
39.1°, intensity 100.0, hkl 1 3 3; 40.2°, intensity 39.1, hkl 2 2 2; 43.9°, intensity 31.2, hkl 2 0 4; 37.4°, intensity 29.6, hkl 2 2 0; 33.0°, intensity 26.6, hkl 1 3 1; 32.2°, intensity 25.5, hkl 2 0 0; 62.1°, intensity 25.2, hkl 3 3 3; 28.6°, intensity 24.1, hkl 1 1 3

a b c (Å): 5.5527 9.6512 12.3360
angles (deg): 90.00 90.00 90.00
Space group Fmmm (No. 69)
Symmetry-distinct sites (fractional):
Tb (0.0000, 0.0000, 0.1327) (multiplicity 8)
Ge (0.0000, 0.1685, 0.3408) (multiplicity 16)
Rh (0.0000, 0.0000, 0.5000) (multiplicity 4)
Rh (0.2500, 0.2500, 0.0000) (multiplicity 8)

---

[10]
For Tl4In, the PBE geometry in Alexandria gives the computed powder diffraction line list in this record (copper Kα).
Neutral-atom scattering factors, no anomalous dispersion.

Peak list (8 most intense, 2θ = 10–90°, in order of falling intensity)
31.0°, intensity 100.0, hkl 2 1 1; 37.7°, intensity 24.4, hkl 3 1 0; 56.5°, intensity 17.8, hkl 2 1 3; 69.1°, intensity 14.7, hkl 5 2 1; 61.8°, intensity 14.4, hkl 3 3 2; 32.1°, intensity 13.7, hkl 0 0 2; 52.6°, intensity 12.9, hkl 4 1 1; 36.3°, intensity 11.6, hkl 1 1 2

a b c (Å): 7.5511 7.5511 5.5811
angles (deg): 90.00 90.00 90.00
Space group P4/nbm (No. 125, origin choice 2)
Symmetry-distinct sites (fractional):
Tl (0.0946, 0.5946, 0.2365) (multiplicity 8)
In (0.2500, 0.2500, 0.5000) (multiplicity 2)

---

[11]
For Sm2Fe15Co2, the PBE geometry in Alexandria gives the computed powder diffraction line list in this record (copper Kα).
Neutral-atom scattering factors, no anomalous dispersion.

Peak list (8 most intense, 2θ = 10–90°, in order of falling intensity)
42.7°, intensity 100.0, hkl 2 2 2; 43.4°, intensity 36.5, hkl 4 0 -2; 43.0°, intensity 32.7, hkl 4 0 1; 36.6°, intensity 25.4, hkl 1 3 1; 30.0°, intensity 24.6, hkl 2 2 -1; 37.8°, intensity 23.4, hkl 2 2 -2; 42.5°, intensity 20.2, hkl 0 4 0; 48.2°, intensity 13.4, hkl 4 2 1

a b c (Å): 9.6681 8.5163 6.4133
angles (deg): 90.00 100.19 90.00
Space group Cm (No. 8)
Symmetry-distinct sites (fractional):
Sm (0.0000, 0.0000, 0.0000) (multiplicity 2)
Sm (0.1825, 0.5000, 0.3202) (multiplicity 2)
Fe (0.0916, 0.2515, 0.6603) (multiplicity 4)
Fe (0.1854, 0.5000, 0.8212) (multiplicity 2)
Fe (0.1918, 0.1476, 0.3632) (multiplicity 4)
Fe (0.2446, 0.0000, 0.7545) (multiplicity 2)
Fe (0.3406, 0.0000, 0.1595) (multiplicity 2)
Fe (0.3417, 0.2883, 0.6604) (multiplicity 4)
Fe (0.4317, 0.2499, 0.3176) (multiplicity 4)
Fe (0.4367, 0.0000, 0.5637) (multiplicity 2)
Fe (0.4898, 0.1464, 0.9559) (multiplicity 4)
Fe (0.4988, 0.5000, 0.5060) (multiplicity 2)
Co (0.2501, 0.2475, 0.0000) (multiplicity 4)

---

[12]
For K3Np4O12, the PBE geometry in Alexandria gives the computed powder diffraction line list in this record (copper Kα).
Neutral-atom scattering factors, no anomalous dispersion.

Peak list (8 most intense, 2θ = 10–90°, in order of falling intensity)
29.7°, intensity 100.0, hkl 2 2 0; 20.9°, intensity 92.3, hkl 2 0 0; 47.8°, intensity 43.9, hkl 4 2 0; 52.7°, intensity 42.2, hkl 4 2 2; 42.5°, intensity 30.4, hkl 4 0 0; 85.3°, intensity 22.5, hkl 6 4 2; 65.8°, intensity 21.4, hkl 4 4 2; 61.6°, intensity 19.4, hkl 4 4 0

a b c (Å): 8.5131 8.5131 8.5131
angles (deg): 90.00 90.00 90.00
Space group Im-3 (No. 204)
Symmetry-distinct sites (fractional):
K (0.0000, 0.0000, 0.5000) (multiplicity 6)
Np (0.2500, 0.2500, 0.2500) (multiplicity 8)
O (0.0000, 0.2548, 0.2539) (multiplicity 24)

---

Number 12 is which compound?
K3Np4O12

---

Which formula does entry 12 have?
K3Np4O12